Entry 1:
Structure and theoretical X-ray powder pattern of Li4V3O8 (a PBE+U-relaxed structure; λ = 1.5418 Å (Cu Kα)).

Largest 10 diffraction maxima, in order of rising 2θ, 15 to 90 degrees two-theta:
2theta, d_spacing, I (rel.)
17.28, 5.133, 100
18.44, 4.811, 19
21.00, 4.231, 11
35.33, 2.541, 10
35.94, 2.499, 28
42.74, 2.116, 57
55.32, 1.661, 19
60.41, 1.532, 16
63.65, 1.462, 17
66.50, 1.406, 11

abc: 6.1435 6.1435 6.1435
angles: 56.84 56.84 56.84
Fractional positions:
Li: 0.0000 0.0000 0.0000
Li: 0.1414 0.1414 0.1414
Li: 0.5000 0.5000 0.5000
Li: 0.8586 0.8586 0.8586
V: 0.0000 0.5000 0.5000
V: 0.5000 0.0000 0.5000
V: 0.5000 0.5000 0.0000
O: 0.2420 0.2420 0.7197
O: 0.2420 0.7197 0.2420
O: 0.2642 0.2642 0.2642
O: 0.2803 0.7580 0.7580
O: 0.7197 0.2420 0.2420
O: 0.7358 0.7358 0.7358
O: 0.7580 0.2803 0.7580
O: 0.7580 0.7580 0.2803

***

Entry 2:
Structure and theoretical X-ray powder pattern of Li4Ti3Fe5O16 (a PBE+U-relaxed structure; λ = 1.5418 Å (Cu Kα)).

Largest 10 diffraction maxima, in order of rising 2θ, 15 to 90 degrees two-theta:
2theta, d_spacing, I (rel.)
18.47, 4.804, 100
19.69, 4.508, 84
19.80, 4.484, 59
32.99, 2.715, 31
35.72, 2.513, 49
35.96, 2.497, 30
36.38, 2.470, 28
45.49, 1.994, 31
45.63, 1.988, 31
60.34, 1.534, 40

abc: 5.8310 5.8635 9.6080
angles: 89.64 89.66 60.67
Fractional positions:
Li: 0.0000 0.0000 0.0000
Li: 0.0034 0.9926 0.5000
Li: 0.3291 0.3190 0.1048
Li: 0.6591 0.6579 0.5996
Ti: 0.1613 0.6523 0.7817
Ti: 0.6534 0.1595 0.7797
Ti: 0.8161 0.8298 0.2817
Fe: 0.1647 0.1642 0.7841
Fe: 0.3183 0.3298 0.5039
Fe: 0.3364 0.8195 0.2834
Fe: 0.6535 0.6567 0.0044
Fe: 0.8261 0.3297 0.2825
O: 0.0012 0.9810 0.1853
O: 0.0305 0.4752 0.6602
O: 0.1535 0.6683 0.3944
O: 0.1638 0.1505 0.3922
O: 0.3188 0.8302 0.8928
O: 0.3322 0.3303 0.8941
O: 0.4747 0.4740 0.6618
O: 0.4768 0.0305 0.6596
O: 0.5075 0.5154 0.1620
O: 0.5179 0.9521 0.1592
O: 0.6615 0.6662 0.3941
O: 0.6706 0.1582 0.3947
O: 0.8309 0.3181 0.8930
O: 0.8309 0.8281 0.8959
O: 0.9557 0.5037 0.1615
O: 0.9954 0.9931 0.6868

***

Entry 3:
Structure and theoretical X-ray powder pattern of MgCr3Fe2O8 (a PBE+U-relaxed structure; λ = 1.5418 Å (Cu Kα)).

Largest 10 diffraction maxima, in order of rising 2θ, 15 to 90 degrees two-theta:
2theta, d_spacing, I (rel.)
17.98, 4.934, 49
29.53, 3.025, 22
34.69, 2.586, 49
34.89, 2.572, 100
42.08, 2.147, 17
42.42, 2.131, 33
55.63, 1.652, 17
56.05, 1.641, 34
61.21, 1.514, 25
61.36, 1.511, 25

abc: 6.0439 6.0439 6.0217
angles: 119.74 119.74 59.87
Fractional positions:
Mg: 0.0000 0.0000 0.0000
Cr: 0.3752 0.3752 0.1243
Cr: 0.3756 0.8760 0.6249
Cr: 0.8760 0.3756 0.6249
Fe: 0.3741 0.3741 0.6251
Fe: 0.7512 0.7512 0.2477
O: 0.1343 0.5929 0.8642
O: 0.1360 0.1360 0.4071
O: 0.1374 0.1374 0.8647
O: 0.1633 0.6165 0.3881
O: 0.5929 0.1343 0.8642
O: 0.6116 0.6116 0.3845
O: 0.6122 0.6122 0.8367
O: 0.6165 0.1633 0.3881

***

Entry 4:
Structure and theoretical X-ray powder pattern of Ti4Ni2O (a PBE+U-relaxed structure; λ = 1.5418 Å (Cu Kα)).

Largest 10 diffraction maxima, in order of rising 2θ, 15 to 90 degrees two-theta:
2theta, d_spacing, I (rel.)
34.64, 2.590, 6
39.09, 2.304, 28
41.57, 2.173, 100
45.45, 1.996, 39
48.38, 1.881, 12
53.87, 1.702, 8
70.83, 1.330, 25
72.52, 1.304, 8
77.50, 1.232, 6
85.61, 1.135, 16

abc: 7.9823 7.9823 7.9823
angles: 60.00 60.00 60.00
Fractional positions:
Ti: 0.0548 0.0548 0.4452
Ti: 0.0548 0.4452 0.0548
Ti: 0.0548 0.4452 0.4452
Ti: 0.1829 0.1829 0.8171
Ti: 0.1829 0.8171 0.1829
Ti: 0.1829 0.8171 0.8171
Ti: 0.4164 0.4164 0.4164
Ti: 0.4164 0.4164 0.7506
Ti: 0.4164 0.7506 0.4164
Ti: 0.4452 0.0548 0.0548
Ti: 0.4452 0.0548 0.4452
Ti: 0.4452 0.4452 0.0548
Ti: 0.7506 0.4164 0.4164
Ti: 0.8171 0.1829 0.1829
Ti: 0.8171 0.1829 0.8171
Ti: 0.8171 0.8171 0.1829
Ni: 0.1185 0.6272 0.6272
Ni: 0.4850 0.8383 0.8383
Ni: 0.6272 0.1185 0.6272
Ni: 0.6272 0.6272 0.1185
Ni: 0.6272 0.6272 0.6272
Ni: 0.8383 0.4850 0.8383
Ni: 0.8383 0.8383 0.4850
Ni: 0.8383 0.8383 0.8383
O: 0.1257 0.1257 0.1257
O: 0.1257 0.1257 0.6230
O: 0.1257 0.6230 0.1257
O: 0.6230 0.1257 0.1257